The following is a calculated powder X-ray diffraction pattern of Th3Pb2C. It was derived from DFT lattice parameters and positions (GGA-PBE), using λ = 1.5418 Å (Cu Kα).
Neutral-atom scattering factors, no anomalous dispersion.

Principal peaks in the range 2θ = 15–90°, sorted by position:
d = 3.194 Å, rel. 65.7; d = 2.903 Å, rel. 85.7; d = 2.872 Å, rel. 37.7; d = 2.851 Å, rel. 69.1; d = 2.713 Å, rel. 100.0; d = 2.149 Å, rel. 37.7

a b c (Å): 8.3155 8.3155 7.0800
angles (deg): 101.65 101.65 45.18
Element x y z (fractional)
Th1 0.0470 0.9530 0.7500
Th2 0.3336 0.4327 0.4144
Th3 0.4327 0.3336 0.9144
Th4 0.5673 0.6664 0.0856
Th5 0.6664 0.5673 0.5856
Th6 0.9530 0.0470 0.2500
Pb1 0.1323 0.2447 0.0667
Pb2 0.2447 0.1323 0.5667
Pb3 0.7553 0.8677 0.4333
Pb4 0.8677 0.7553 0.9333
C1 0.4341 0.5659 0.7500
C2 0.5659 0.4341 0.2500

---

The following is a calculated powder X-ray diffraction pattern of Th5Pb2C2. It was derived from DFT lattice parameters and positions (GGA-PBE), using λ = 1.5418 Å (Cu Kα).
Neutral-atom scattering factors, no anomalous dispersion.

Principal peaks in the range 2θ = 15–90°, sorted by position:
d = 3.424 Å, rel. 32.1; d = 3.387 Å, rel. 45.9; d = 3.056 Å, rel. 100.0; d = 2.759 Å, rel. 77.8; d = 2.671 Å, rel. 45.3; d = 2.614 Å, rel. 66.9

a b c (Å): 10.7235 10.7235 10.7235
angles (deg): 59.24 135.66 142.76
Element x y z (fractional)
Th1 0.2496 0.0213 0.2709
Th2 0.2496 0.4787 0.7284
Th3 0.3144 0.4030 0.4114
Th4 0.6874 0.1066 0.3054
Th5 0.6874 0.8819 0.0807
Th6 0.7504 0.5213 0.2716
Th7 0.7504 0.9787 0.7291
Th8 0.8012 0.3819 0.6946
Th9 0.8012 0.6066 0.9193
Th10 0.9916 0.9030 0.5886
Pb1 0.2061 0.3638 0.0631
Pb2 0.2061 0.6431 0.3424
Pb3 0.3007 0.1431 0.9369
Pb4 0.3007 0.8638 0.6576
C1 0.7458 0.5699 0.6758
C2 0.7555 0.2555 0.5000
C3 0.7555 0.7555 0.0000
C4 0.8941 0.0699 0.3242

---

The following is a calculated powder X-ray diffraction pattern of Ti6Pb3C. It was derived from DFT lattice parameters and positions (GGA-PBE), using λ = 1.5418 Å (Cu Kα).
Neutral-atom scattering factors, no anomalous dispersion.

Principal peaks in the range 2θ = 15–90°, sorted by position:
d = 4.935 Å, rel. 39.1; d = 3.644 Å, rel. 100.0; d = 2.894 Å, rel. 44.5; d = 2.508 Å, rel. 45.7; d = 2.335 Å, rel. 42.2; d = 2.217 Å, rel. 67.7

a b c (Å): 5.8038 5.8038 7.2868
angles (deg): 109.26 109.26 60.26
Element x y z (fractional)
Ti1 0.1439 0.6518 0.6098
Ti2 0.1772 0.1772 0.7704
Ti3 0.3482 0.8561 0.3902
Ti4 0.6518 0.1439 0.6098
Ti5 0.8228 0.8228 0.2296
Ti6 0.8561 0.3482 0.3902
Pb1 0.2865 0.2865 0.2255
Pb2 0.5000 0.5000 0.0000
Pb3 0.7135 0.7135 0.7745
C1 0.0000 0.0000 0.5000

---

The following is a calculated powder X-ray diffraction pattern of Tm6Pb3C. It was derived from DFT lattice parameters and positions (GGA-PBE), using λ = 1.5418 Å (Cu Kα).
Neutral-atom scattering factors, no anomalous dispersion.

Principal peaks in the range 2θ = 15–90°, sorted by position:
d = 3.024 Å, rel. 54.7; d = 2.891 Å, rel. 99.8; d = 2.620 Å, rel. 67.3; d = 2.513 Å, rel. 100.0; d = 2.456 Å, rel. 51.0; d = 2.423 Å, rel. 79.2

a b c (Å): 6.6989 6.6989 7.4213
angles (deg): 105.72 105.72 59.96
Element x y z (fractional)
Tm1 0.1488 0.6528 0.6292
Tm2 0.1731 0.1731 0.8012
Tm3 0.3472 0.8512 0.3708
Tm4 0.6528 0.1488 0.6292
Tm5 0.8269 0.8269 0.1988
Tm6 0.8512 0.3472 0.3708
Pb1 0.3140 0.3140 0.2534
Pb2 0.5000 0.5000 0.0000
Pb3 0.6860 0.6860 0.7466
C1 0.0000 0.0000 0.5000

---

The following is a calculated powder X-ray diffraction pattern of UPbC. It was derived from DFT lattice parameters and positions (GGA-PBE), using λ = 1.5418 Å (Cu Kα).
Neutral-atom scattering factors, no anomalous dispersion.

Principal peaks in the range 2θ = 15–90°, sorted by position:
d = 3.606 Å, rel. 29.9; d = 2.740 Å, rel. 99.5; d = 2.692 Å, rel. 67.6; d = 2.677 Å, rel. 100.0; d = 2.546 Å, rel. 52.1; d = 1.599 Å, rel. 29.2

a b c (Å): 6.1874 6.1874 7.9957
angles (deg): 130.17 130.17 37.47
Element x y z (fractional)
U1 0.0829 0.0829 0.3427
U2 0.9171 0.9171 0.6573
Pb1 0.2788 0.2788 0.1869
Pb2 0.7212 0.7212 0.8131
C1 0.3392 0.3392 0.6432
C2 0.6608 0.6608 0.3568

---

The following is a calculated powder X-ray diffraction pattern of Ta3PdC. It was derived from DFT lattice parameters and positions (GGA-PBE), using λ = 1.5418 Å (Cu Kα).
Neutral-atom scattering factors, no anomalous dispersion.

Principal peaks in the range 2θ = 15–90°, sorted by position:
d = 2.525 Å, rel. 99.4; d = 2.410 Å, rel. 100.0; d = 2.338 Å, rel. 57.4; d = 2.154 Å, rel. 33.2; d = 2.126 Å, rel. 57.7; d = 1.406 Å, rel. 31.6

a b c (Å): 7.2370 7.2370 3.1169
angles (deg): 90.00 90.00 106.92
Element x y z (fractional)
Ta1 0.1603 0.4178 0.5000
Ta2 0.2126 0.7874 0.0000
Ta3 0.4178 0.1603 0.5000
Ta4 0.5822 0.8397 0.5000
Ta5 0.7874 0.2126 0.0000
Ta6 0.8397 0.5822 0.5000
Pd1 0.0000 0.0000 0.5000
Pd2 0.5000 0.5000 0.0000
C1 0.0000 0.5000 0.0000
C2 0.5000 0.0000 0.0000

---

The following is a calculated powder X-ray diffraction pattern of TmPdC. It was derived from DFT lattice parameters and positions (GGA-PBE), using λ = 1.5418 Å (Cu Kα).
Neutral-atom scattering factors, no anomalous dispersion.

Principal peaks in the range 2θ = 15–90°, sorted by position:
d = 2.790 Å, rel. 100.0; d = 2.671 Å, rel. 15.3; d = 2.289 Å, rel. 48.3; d = 1.759 Å, rel. 32.2; d = 1.488 Å, rel. 15.0; d = 1.136 Å, rel. 12.7

a b c (Å): 3.5179 3.5179 9.4710
angles (deg): 100.77 100.77 60.05
Element x y z (fractional)
Tm1 0.1111 0.1111 0.3319
Tm2 0.8889 0.8889 0.6681
Pd1 0.3685 0.3685 0.1054
Pd2 0.6315 0.6315 0.8946
C1 0.2704 0.2704 0.8117
C2 0.7296 0.7296 0.1883

---

The following is a calculated powder X-ray diffraction pattern of V4PdC. It was derived from DFT lattice parameters and positions (GGA-PBE), using λ = 1.5418 Å (Cu Kα).
Neutral-atom scattering factors, no anomalous dispersion.

Principal peaks in the range 2θ = 15–90°, sorted by position:
d = 4.207 Å, rel. 41.7; d = 3.786 Å, rel. 54.1; d = 2.418 Å, rel. 45.3; d = 2.320 Å, rel. 100.0; d = 2.104 Å, rel. 41.0; d = 1.825 Å, rel. 51.8

a b c (Å): 5.6602 5.6602 2.7811
angles (deg): 90.00 90.00 96.03
Element x y z (fractional)
V1 0.1794 0.1794 0.5000
V2 0.2383 0.7617 0.0000
V3 0.7617 0.2383 0.0000
V4 0.8206 0.8206 0.5000
Pd1 0.5000 0.5000 0.5000
C1 0.0000 0.0000 0.0000

---

The following is a calculated powder X-ray diffraction pattern of PmC. It was derived from DFT lattice parameters and positions (GGA-PBE), using λ = 1.5418 Å (Cu Kα).
Neutral-atom scattering factors, no anomalous dispersion.

Principal peaks in the range 2θ = 15–90°, sorted by position:
d = 3.350 Å, rel. 96.2; d = 3.303 Å, rel. 69.3; d = 3.231 Å, rel. 92.2; d = 3.170 Å, rel. 73.0; d = 2.951 Å, rel. 81.4; d = 2.909 Å, rel. 100.0

a b c (Å): 4.2623 4.2623 6.3443
angles (deg): 92.10 92.10 50.82
Element x y z (fractional)
Pm1 0.1388 0.1388 0.2776
Pm2 0.8612 0.8612 0.7224
C1 0.4214 0.4214 0.4490
C2 0.5786 0.5786 0.5510

---

The following is a calculated powder X-ray diffraction pattern of Pm2PrC. It was derived from DFT lattice parameters and positions (GGA-PBE), using λ = 1.5418 Å (Cu Kα).
Neutral-atom scattering factors, no anomalous dispersion.

Principal peaks in the range 2θ = 15–90°, sorted by position:
d = 3.192 Å, rel. 35.4; d = 3.027 Å, rel. 100.0; d = 2.655 Å, rel. 76.5; d = 1.915 Å, rel. 29.7; d = 1.842 Å, rel. 26.5; d = 1.595 Å, rel. 32.1

a b c (Å): 3.6836 3.6836 9.5750
angles (deg): 90.00 90.00 120.00
Element x y z (fractional)
Pm1 0.3333 0.6667 0.1478
Pm2 0.6667 0.3333 0.8522
Pr1 0.0000 0.0000 0.5000
C1 0.0000 0.0000 0.0000

---

The following is a calculated powder X-ray diffraction pattern of Pm12Re5C15. It was derived from DFT lattice parameters and positions (GGA-PBE), using λ = 1.5418 Å (Cu Kα).
Neutral-atom scattering factors, no anomalous dispersion.

Principal peaks in the range 2θ = 15–90°, sorted by position:
d = 2.972 Å, rel. 100.0; d = 2.718 Å, rel. 24.5; d = 2.650 Å, rel. 39.5; d = 2.634 Å, rel. 41.8; d = 1.868 Å, rel. 30.3; d = 1.585 Å, rel. 18.9

a b c (Å): 10.9665 10.9665 5.2998
angles (deg): 90.00 90.00 120.00
Element x y z (fractional)
Pm1 0.0000 0.4247 0.0000
Pm2 0.0000 0.7943 0.0000
Pm3 0.1867 0.7295 0.5000
Pm4 0.2057 0.2057 0.0000
Pm5 0.2705 0.4572 0.5000
Pm6 0.4247 0.0000 0.0000
Pm7 0.4572 0.2705 0.5000
Pm8 0.5428 0.8133 0.5000
Pm9 0.5753 0.5753 0.0000
Pm10 0.7295 0.1867 0.5000
Pm11 0.7943 0.0000 0.0000
Pm12 0.8133 0.5428 0.5000
Re1 0.0000 0.1522 0.5000
Re2 0.1522 0.0000 0.5000
Re3 0.3333 0.6667 0.0000
Re4 0.6667 0.3333 0.0000
Re5 0.8478 0.8478 0.5000
C1 0.0000 0.3293 0.5000
C2 0.0000 0.4528 0.5000
C3 0.0000 0.7907 0.5000
C4 0.1885 0.7153 0.0000
C5 0.2093 0.2093 0.5000
C6 0.2847 0.4732 0.0000
C7 0.3293 0.0000 0.5000
C8 0.4528 0.0000 0.5000
C9 0.4732 0.2847 0.0000
C10 0.5268 0.8115 0.0000
C11 0.5472 0.5472 0.5000
C12 0.6706 0.6706 0.5000
C13 0.7153 0.1885 0.0000
C14 0.7907 0.0000 0.5000
C15 0.8115 0.5268 0.0000

---

The following is a calculated powder X-ray diffraction pattern of Pm2ReC3. It was derived from DFT lattice parameters and positions (GGA-PBE), using λ = 1.5418 Å (Cu Kα).
Neutral-atom scattering factors, no anomalous dispersion.

Principal peaks in the range 2θ = 15–90°, sorted by position:
d = 3.138 Å, rel. 33.4; d = 3.031 Å, rel. 32.1; d = 2.894 Å, rel. 60.9; d = 2.796 Å, rel. 100.0; d = 2.678 Å, rel. 35.5; d = 2.128 Å, rel. 25.7

a b c (Å): 6.2713 6.2713 12.5517
angles (deg): 90.00 90.00 125.03
Element x y z (fractional)
Pm1 0.0507 0.9493 0.8585
Pm2 0.1430 0.8570 0.4173
Pm3 0.3570 0.6430 0.9173
Pm4 0.4493 0.5507 0.3585
Pm5 0.5507 0.4493 0.6415
Pm6 0.6430 0.3570 0.0827
Pm7 0.8570 0.1430 0.5827
Pm8 0.9493 0.0507 0.1415
Re1 0.2447 0.7553 0.6569
Re2 0.2553 0.7447 0.1569
Re3 0.7447 0.2553 0.8431
Re4 0.7553 0.2447 0.3431
C1 0.0373 0.4627 0.7500
C2 0.0761 0.9239 0.6268
C3 0.1526 0.8474 0.0325
C4 0.3474 0.6526 0.5325
C5 0.4239 0.5761 0.1268
C6 0.4627 0.0373 0.2500
C7 0.5373 0.9627 0.7500
C8 0.5761 0.4239 0.8732
C9 0.6526 0.3474 0.4675
C10 0.8474 0.1526 0.9675
C11 0.9239 0.0761 0.3732
C12 0.9627 0.5373 0.2500

---

The following is a calculated powder X-ray diffraction pattern of Pm3Ru2C4. It was derived from DFT lattice parameters and positions (GGA-PBE), using λ = 1.5418 Å (Cu Kα).
Neutral-atom scattering factors, no anomalous dispersion.

Principal peaks in the range 2θ = 15–90°, sorted by position:
d = 3.331 Å, rel. 26.2; d = 3.292 Å, rel. 28.1; d = 2.890 Å, rel. 34.5; d = 2.845 Å, rel. 40.5; d = 2.597 Å, rel. 80.3; d = 2.433 Å, rel. 100.0

a b c (Å): 7.5686 7.5686 5.7477
angles (deg): 97.97 97.97 26.12
Element x y z (fractional)
Pm1 0.0000 0.0000 0.0000
Pm2 0.1432 0.1432 0.5498
Pm3 0.8568 0.8568 0.4502
Ru1 0.3099 0.3099 0.9300
Ru2 0.6901 0.6901 0.0700
C1 0.2419 0.2419 0.2215
C2 0.4985 0.4985 0.3841
C3 0.5015 0.5015 0.6159
C4 0.7581 0.7581 0.7785